Diffraction record for LiCaVF6. The powder XRD pattern is simulated, not measured: it uses a PBE+U-relaxed structure and Cu Kα.
No peak broadening, texture or thermal motion is included.

The 8 most intense peaks (5° ≤ 2θ ≤ 70°), by intensity:
hkl 0 2 1, 2θ = 26.7°, rel. 100; hkl 1 3 -2, 2θ = 50.7°, rel. 51; hkl 2 0 1, 2θ = 39.0°, rel. 49; hkl 1 1 0, 2θ = 19.6°, rel. 32; hkl 2 2 -1, 2θ = 44.0°, rel. 21; hkl 3 3 0, 2θ = 61.5°, rel. 15; hkl 1 5 -1, 2θ = 56.9°, rel. 14; hkl 0 0 1, 2θ = 17.9°, rel. 8

Atomic structure:
```
data_LiCaVF6
_chemical_formula_sum 'Li2 Ca2 V2 F12'
_space_group_name_H-M_alt 'C 1 2 1'
_space_group_IT_number 5
_cell_length_a 5.220
_cell_length_b 9.062
_cell_length_c 4.963
_cell_angle_alpha 90.00
_cell_angle_beta 90.04
_cell_angle_gamma 90.00
loop_
_space_group_symop_operation_xyz
'x,y,z'
'-x,y,-z'
'x+1/2,y+1/2,z'
'-x+1/2,y+1/2,-z'
loop_
_atom_site_label
_atom_site_type_symbol
_atom_site_fract_x
_atom_site_fract_y
_atom_site_fract_z
Li1 Li 0.000 0.000 0.000
Ca1 Ca 0.000 0.666 0.500
V1 V 0.000 0.333 0.000
F1 F 0.147 0.173 0.778
F2 F 0.166 0.487 0.778
F3 F 0.186 0.839 0.778
```